For Cs2PrHf2O7, a structure optimized by DFT (GGA-PBE) gives the computed X-ray powder pattern in this record (λ = 1.5418 Å (Cu Kα)).
Kinematic intensities with the Lorentz-polarization factor, no thermal factor.

Peak list (12 most intense, 2θ from 10° to 90°, in order of rising 2θ)
2θ 28.16, d 3.168, intensity 100; 2θ 30.78, d 2.905, intensity 47; 2θ 33.33, d 2.688, intensity 8; 2θ 36.09, d 2.489, intensity 9; 2θ 44.09, d 2.054, intensity 24; 2θ 48.15, d 1.890, intensity 19; 2θ 53.14, d 1.723, intensity 35; 2θ 58.24, d 1.584, intensity 9; 2θ 64.12, d 1.452, intensity 8; 2θ 72.80, d 1.299, intensity 8; 2θ 84.04, d 1.152, intensity 7; 2θ 87.92, d 1.111, intensity 9

Structural model:
```
Cs2PrHf2O7
1.0
-2.054 2.054 12.445
2.054 -2.054 12.445
2.054 2.054 -12.445
Cs Pr Hf O
2 1 2 7
direct
0.192 0.192 0.000
0.808 0.808 0.000
0.000 0.000 0.000
0.414 0.414 0.000
0.586 0.586 0.000
0.070 0.570 0.500
0.335 0.335 0.000
0.430 0.930 0.500
0.500 0.500 0.000
0.570 0.070 0.500
0.665 0.665 0.000
0.930 0.430 0.500
```